The following is a computed powder diffraction line list of DyCr2SnO6. It was derived from the PBE+U geometry in Alexandria, using Cu Kα (weighted mean of Kα1 and Kα2).

The 6 most intense peaks (2θ from 10° to 80°), low angle first:
h k l, Position (°2θ), intensity
1 1 1, 22.9, 100
1 0 1, 30.5, 69
1 1 -1, 30.7, 66
0 1 2, 31.5, 59
-1 1 1, 32.9, 62
1 2 1, 33.1, 57

Structure:
```
data_DyCr2SnO6
_cell_length_a 5.334
_cell_length_b 5.422
_cell_length_c 5.706
_cell_angle_alpha 63.41
_cell_angle_beta 89.91
_cell_angle_gamma 60.90
_symmetry_space_group_name_H-M 'P 1'
_symmetry_Int_Tables_number 1
loop_
_symmetry_equiv_pos_as_xyz
'x,y,z'
loop_
_atom_site_label
_atom_site_fract_x
_atom_site_fract_y
_atom_site_fract_z
Dy1 0.000 0.000 0.000
Cr1 0.216 0.571 0.625
Cr2 0.722 0.549 0.158
Sn1 0.521 0.964 0.543
O1 0.144 0.027 0.366
O2 0.322 0.109 0.817
O3 0.431 0.443 0.360
O4 0.580 0.492 0.840
O5 0.824 0.751 0.357
O6 0.928 0.728 0.840
```